This entry pairs a crystal structure of MnGaH4O2F5 with its calculated X-ray diffraction stick pattern. Radiation: Cu Kα X-rays. Structure: a DFT-relaxed cell (GGA+U, Alexandria).
Intensities are scaled so that the largest is 100.

Main lines, by angle (2θ = 5–70°):
| 2θ (°) | intensity |
| --- | --- |
| 15.6 | 100 |
| 17.7 | 22 |
| 24.1 | 27 |
| 27.8 | 36 |
| 28.2 | 42 |
| 28.5 | 48 |
| 31.5 | 33 |
| 47.7 | 16 |
| 48.1 | 11 |
| 49.3 | 36 |

Crystal structure
Lattice parameters (Å, degrees): 7.462 7.462 7.462 118.49 85.30 127.23
Sites, in units of the cell vectors:
Mn: 0.000 0.000 0.000
Mn: 0.500 0.000 0.500
Ga: 0.500 0.000 0.000
Ga: 0.500 0.500 0.500
H: 0.021 0.513 0.302
H: 0.021 0.719 0.508
H: 0.290 0.281 0.802
H: 0.290 0.487 0.008
H: 0.710 0.513 0.992
H: 0.710 0.719 0.198
H: 0.979 0.281 0.492
H: 0.979 0.487 0.698
O: 0.124 0.698 0.426
O: 0.228 0.302 0.926
O: 0.772 0.698 0.074
O: 0.876 0.302 0.574
F: 0.178 0.266 0.342
F: 0.178 0.836 0.911
F: 0.425 0.266 0.589
F: 0.425 0.836 0.158
F: 0.435 0.685 0.750
F: 0.565 0.315 0.250
F: 0.575 0.164 0.842
F: 0.575 0.734 0.411
F: 0.822 0.164 0.089
F: 0.822 0.734 0.658